Diffraction record for Mn2CrTeO6. The X-ray powder pattern is simulated, not measured: it uses DFT lattice parameters and positions (PBE+U) and Cu Kα, 1.54184 Å.
Intensities are scaled so that the largest is 100.

Peak list (10 most intense, 2θ from 10° to 90°, by angle)
two_theta	Rel. int.
19.86	46.6
23.05	83.7
30.63	100.0
31.34	77.0
31.82	84.5
32.68	79.6
33.68	70.5
34.24	67.0
38.54	37.7
45.31	39.0

Crystal structure
```
Mn2CrTeO6
1.0
5.243 0.000 0.000
2.461 4.727 0.000
2.417 1.680 4.853
Mn Cr Te O
2 1 1 6
direct
0.000 0.000 0.000
0.499 0.468 0.555
0.702 0.688 0.924
0.231 0.179 0.386
0.078 0.389 0.746
0.311 0.884 0.191
0.430 0.813 0.682
0.603 0.298 0.203
0.804 0.062 0.731
0.904 0.630 0.187
```